# 1
For ZrSc2Zn4, a crystal structure in Alexandria, relaxed with PBE gives the simulated X-ray powder pattern in this record (Cu Ka).
Kinematic intensities with the Lorentz-polarization factor, no thermal factor.

Atomic structure:
```
data_ZrSc2Zn4
_symmetry_space_group_name_H-M 'F m m m'
_symmetry_Int_Tables_number 69
_symmetry_space_group_name_Hall '-F 2 2'
_cell_length_a 6.104
_cell_length_b 8.628
_cell_length_c 10.231
_cell_angle_alpha 90.00
_cell_angle_beta 90.00
_cell_angle_gamma 90.00
loop_
_atom_site_label
_atom_site_type_symbol
_atom_site_fract_x
_atom_site_fract_y
_atom_site_fract_z
_atom_site_occupancy
Zr1 Zr 0.000 0.000 0.000 1
Sc1 Sc 0.000 0.000 0.301 1
Zn1 Zn 0.250 0.250 0.122 1
```

Top 10 peaks for 2θ = 15–90°, in order of rising 2θ:
2θ/deg	d_spacing	I (rel.)	h k l
19.82	4.480	17.7	1 1 1
31.80	2.814	35.8	1 1 3
36.05	2.492	100.0	2 2 0
41.02	2.200	51.4	0 2 4
41.88	2.157	32.4	0 4 0
43.76	2.068	14.1	1 3 3
46.31	1.960	35.8	2 0 4
64.20	1.451	25.5	2 4 4
72.69	1.301	11.4	2 6 0
75.88	1.254	22.8	4 2 4

---

# 2
For ZrSc2Zn3, a crystal structure in Alexandria, relaxed with PBE gives the simulated X-ray powder pattern in this record (Cu Ka).
Kinematic intensities with the Lorentz-polarization factor, no thermal factor.

Atomic structure:
```
data_ZrSc2Zn3
_symmetry_space_group_name_H-M 'P 4/m m m'
_symmetry_Int_Tables_number 123
_symmetry_space_group_name_Hall '-P 4 2'
_cell_length_a 3.343
_cell_length_b 3.343
_cell_length_c 10.058
_cell_angle_alpha 90.00
_cell_angle_beta 90.00
_cell_angle_gamma 90.00
loop_
_atom_site_label
_atom_site_type_symbol
_atom_site_fract_x
_atom_site_fract_y
_atom_site_fract_z
_atom_site_occupancy
Zr1 Zr 0.000 0.000 0.000 1
Sc1 Sc 0.000 0.000 0.333 1
Zn1 Zn 0.500 0.500 0.169 1
Zn2 Zn 0.500 0.500 0.500 1
```

Top 10 peaks for 2θ = 15–90°, in order of rising 2θ:
2θ/deg	d_spacing	I (rel.)	h k l
17.64	5.029	1.4	0 0 2
28.13	3.172	2.4	1 0 1
32.15	2.784	1.8	1 0 2
38.03	2.366	100.0	1 1 0
54.76	1.676	5.5	0 0 6
54.94	1.671	10.8	2 0 0
68.64	1.367	10.6	1 1 6
68.75	1.365	21.1	2 1 3
81.29	1.184	6.4	2 0 6
81.43	1.182	3.2	2 2 0